1.
NbCdNF2: theoretical powder X-ray diffraction pattern (copper Kα), based on a crystal structure in Alexandria, relaxed with GGA-PBE.

Atomic structure:
```
NbCdNF2
1.0
4.295 0.000 0.000
0.000 4.295 0.000
0.000 0.000 4.068
Nb Cd N F
1 1 1 2
Cartesian
0.000 0.000 0.000 Nb
2.147 2.147 2.034 Cd
0.000 0.000 2.034 N
0.000 2.147 0.000 F
2.147 0.000 0.000 F
```

Peak list (8 most intense, 2θ from 10° to 90°, most intense first)
Position (°2θ)	I/Imax
30.26	100.0
29.41	47.4
52.70	41.6
42.08	35.3
62.94	19.3
54.28	16.6
44.55	14.8
61.02	10.7


2.
Na4B5C3: theoretical powder X-ray diffraction pattern (copper Kα), based on a crystal structure in Alexandria, relaxed with GGA-PBE.

Atomic structure:
```
Na4B5C3
1.0
8.843 -1.418 0.000
8.843 1.418 0.000
-2.831 0.000 9.661
Na B C
8 10 6
Cartesian
0.000 0.000 0.000 Na
-1.416 0.000 4.831 Na
2.632 0.000 6.040 Na
4.066 0.000 1.200 Na
8.135 0.000 2.404 Na
6.720 0.000 7.257 Na
10.789 0.000 8.461 Na
12.224 0.000 3.622 Na
1.119 0.000 3.686 B
-0.334 0.000 8.712 B
5.666 0.000 3.280 B
4.209 0.000 8.289 B
5.178 0.000 5.014 B
9.677 0.000 4.647 B
10.647 0.000 1.372 B
9.189 0.000 6.381 B
15.190 0.000 0.949 B
13.736 0.000 5.975 B
1.573 0.000 2.139 C
0.139 0.000 7.141 C
6.573 0.000 0.192 C
8.282 0.000 9.469 C
14.717 0.000 2.520 C
13.283 0.000 7.522 C
```

Peak list (8 most intense, 2θ from 10° to 90°, most intense first)
Position (°2θ)	I/Imax
42.33	100.0
42.61	38.4
41.66	25.7
41.79	25.6
36.37	17.7
64.53	17.4
81.08	10.8
35.67	9.7


3.
Ac2YS3: theoretical powder X-ray diffraction pattern (copper Kα), based on a crystal structure in Alexandria, relaxed with GGA-PBE.

Atomic structure:
```
Ac2YS3
1.0
-2.105 2.105 8.842
2.105 -2.105 8.842
2.105 2.105 -8.842
Ac Y S
2 1 3
Cartesian
0.000 0.000 2.968 Ac
0.000 0.000 14.717 Ac
0.000 0.000 8.842 Y
0.000 0.000 0.000 S
0.000 0.000 6.057 S
0.000 0.000 11.627 S
```

Peak list (8 most intense, 2θ from 10° to 90°, most intense first)
Position (°2θ)	I/Imax
26.01	100.0
30.02	76.6
43.20	55.5
30.32	36.8
50.92	34.8
53.50	29.6
42.98	28.5
78.91	19.2


4.
Hf2VBi: theoretical powder X-ray diffraction pattern (copper Kα), based on a crystal structure in Alexandria, relaxed with GGA-PBE.

Atomic structure:
```
Hf2VBi
1.0
3.342 0.000 0.000
0.000 6.238 0.000
-1.679 0.000 8.558
Hf V Bi
4 2 2
Cartesian
0.000 1.559 0.000 Hf
0.000 4.678 0.000 Hf
0.000 1.558 3.286 Hf
0.000 4.679 3.286 Hf
1.671 0.000 1.643 V
1.671 3.119 1.643 V
-0.838 0.000 5.922 Bi
0.837 3.119 5.920 Bi
```

Peak list (8 most intense, 2θ from 10° to 90°, most intense first)
Position (°2θ)	I/Imax
35.62	100.0
39.89	62.5
31.36	56.7
37.62	50.8
30.80	46.3
30.51	43.9
27.19	42.3
34.26	35.2


5.
Ce4P3Cl: theoretical powder X-ray diffraction pattern (copper Kα), based on a crystal structure in Alexandria, relaxed with GGA-PBE.

Atomic structure:
```
Ce4P3Cl
1.0
4.089 0.000 0.000
0.000 5.764 0.000
0.000 0.000 8.168
Ce P Cl
4 3 1
Cartesian
0.000 0.000 0.000 Ce
0.000 0.000 4.084 Ce
2.045 2.882 1.956 Ce
2.045 2.882 6.211 Ce
0.000 2.882 0.000 P
2.045 0.000 2.059 P
2.045 0.000 6.109 P
0.000 2.882 4.084 Cl
```

Peak list (8 most intense, 2θ from 10° to 90°, most intense first)
Position (°2θ)	I/Imax
30.97	100.0
26.74	74.0
44.37	72.3
55.09	25.0
52.53	23.8
73.27	20.9
81.65	15.7
52.64	12.1


6.
Pm2Ga3HgAu4: theoretical powder X-ray diffraction pattern (copper Kα), based on a crystal structure in Alexandria, relaxed with GGA-PBE.

Atomic structure:
```
Pm2Ga3HgAu4
1.0
4.360 0.000 0.000
0.000 4.360 0.000
0.000 0.000 11.315
Pm Ga Hg Au
2 3 1 4
Cartesian
0.000 2.180 2.693 Pm
2.180 0.000 8.622 Pm
0.000 2.180 9.885 Ga
2.180 0.000 1.430 Ga
2.180 2.180 5.657 Ga
0.000 0.000 5.657 Hg
0.000 0.000 0.000 Au
0.000 2.180 7.405 Au
2.180 0.000 3.910 Au
2.180 2.180 0.000 Au
```

Peak list (8 most intense, 2θ from 10° to 90°, most intense first)
Position (°2θ)	I/Imax
33.09	100.0
41.42	50.5
43.42	26.9
70.27	23.1
31.36	23.0
45.14	21.4
60.02	17.0
62.92	15.9


7.
Zr3In2Ag: theoretical powder X-ray diffraction pattern (copper Kα), based on a crystal structure in Alexandria, relaxed with GGA-PBE.

Atomic structure:
```
Zr3In2Ag
1.0
3.768 0.000 0.000
0.000 3.768 0.000
0.000 0.000 9.177
Zr In Ag
3 2 1
Cartesian
0.000 0.000 0.000 Zr
0.000 0.000 3.116 Zr
0.000 0.000 6.061 Zr
1.884 1.884 1.575 In
1.884 1.884 7.602 In
1.884 1.884 4.588 Ag
```

Peak list (8 most intense, 2θ from 10° to 90°, most intense first)
Position (°2θ)	I/Imax
37.88	100.0
33.63	70.2
62.97	42.8
48.30	24.6
71.07	14.5
80.62	10.5
80.96	10.1
83.13	9.7


8.
EuAg2: theoretical powder X-ray diffraction pattern (copper Kα), based on a crystal structure in Alexandria, relaxed with GGA-PBE.

Atomic structure:
```
EuAg2
1.0
-2.408 3.743 4.148
2.408 -3.743 4.148
2.408 3.743 -4.148
Eu Ag
2 4
Cartesian
0.000 1.871 0.350 Eu
2.408 1.871 3.799 Eu
2.408 -0.369 1.355 Ag
2.408 3.373 -1.355 Ag
0.000 0.369 5.503 Ag
0.000 4.112 2.794 Ag
```

Peak list (8 most intense, 2θ from 10° to 90°, most intense first)
Position (°2θ)	I/Imax
32.17	100.0
37.50	44.0
37.35	28.9
30.86	25.9
50.13	16.1
37.65	14.9
61.21	14.5
54.07	10.0